Sb8Pb3S15: calculated powder diffractogram (Cu Ka), based on a cell relaxed with PBE.

Top 10 peaks for 15° ≤ 2θ ≤ 90°, in order of rising 2θ:
2θ/deg, d/Å, I/Imax
21.49, 4.135, 85
24.13, 3.689, 96
25.76, 3.459, 58
26.01, 3.425, 36
26.98, 3.304, 59
27.24, 3.274, 100
30.35, 2.945, 75
30.89, 2.895, 62
31.25, 2.862, 49
42.14, 2.144, 53

Structural model:
```
Sb8Pb3S15
1.0
6.795 -5.861 0.000
6.795 5.861 0.000
-1.842 0.000 18.061
Sb Pb S
16 6 30
Direct
0.039 0.140 0.427
0.119 0.604 0.934
0.140 0.039 0.927
0.222 0.589 0.158
0.236 0.504 0.500
0.396 0.881 0.566
0.411 0.778 0.342
0.496 0.764 0.000
0.504 0.236 0.000
0.589 0.222 0.658
0.604 0.119 0.434
0.764 0.496 0.500
0.778 0.411 0.842
0.860 0.961 0.073
0.881 0.396 0.066
0.961 0.860 0.573
0.119 0.260 0.663
0.260 0.119 0.163
0.376 0.624 0.750
0.624 0.376 0.250
0.740 0.881 0.837
0.881 0.740 0.337
0.049 0.571 0.597
0.056 0.403 0.836
0.067 0.804 0.842
0.111 0.829 0.463
0.171 0.889 0.037
0.183 0.817 0.250
0.196 0.933 0.658
0.233 0.294 0.037
0.294 0.233 0.537
0.308 0.401 0.249
0.396 0.550 0.911
0.401 0.308 0.749
0.403 0.056 0.336
0.429 0.951 0.903
0.450 0.604 0.589
0.550 0.396 0.411
0.571 0.049 0.097
0.597 0.944 0.664
0.599 0.692 0.251
0.604 0.450 0.089
0.692 0.599 0.751
0.706 0.767 0.463
0.767 0.706 0.963
0.804 0.067 0.342
0.817 0.183 0.750
0.829 0.111 0.963
0.889 0.171 0.537
0.933 0.196 0.158
0.944 0.597 0.164
0.951 0.429 0.403
```